No. 1
CsTmSeCl2O3: computed PXRD pattern (Cu Kα (λ = 1.5418 Å)), based on a cell relaxed with PBE.

Principal peaks in the range 2θ from 5° to 70°, by intensity:
d 8.878, 9.96 deg, I 100
d 3.422, 26.04 deg, I 52
d 2.968, 30.11 deg, I 49
d 4.123, 21.55 deg, I 38
d 4.439, 20.00 deg, I 38
d 3.488, 25.54 deg, I 37
d 2.926, 30.55 deg, I 31
d 2.959, 30.20 deg, I 30
d 1.901, 47.84 deg, I 29
d 4.504, 19.71 deg, I 27

```
CsTmSeCl2O3
1.0
6.622 0.000 0.000
0.000 6.975 0.000
-4.170 0.000 17.756
Cs Tm Se Cl O
4 4 4 8 12
Direct
0.246 0.212 0.053
0.246 0.288 0.553
0.754 0.712 0.447
0.754 0.788 0.947
0.137 0.674 0.258
0.137 0.826 0.758
0.863 0.174 0.242
0.863 0.326 0.742
0.365 0.179 0.291
0.365 0.321 0.791
0.635 0.679 0.209
0.635 0.821 0.709
0.128 0.684 0.114
0.128 0.816 0.614
0.226 0.654 0.406
0.226 0.846 0.906
0.774 0.154 0.094
0.774 0.346 0.594
0.872 0.184 0.386
0.872 0.316 0.886
0.176 0.149 0.756
0.176 0.351 0.256
0.182 0.503 0.764
0.182 0.997 0.264
0.490 0.670 0.275
0.490 0.830 0.775
0.510 0.170 0.225
0.510 0.330 0.725
0.818 0.003 0.736
0.818 0.497 0.236
0.824 0.649 0.744
0.824 0.851 0.244
```

No. 2
Dy5TmSe6: computed PXRD pattern (Cu Kα (λ = 1.5418 Å)), based on a cell relaxed with PBE.

Principal peaks in the range 2θ from 5° to 70°, by intensity:
d 2.874, 31.12 deg, I 100
d 2.032, 44.60 deg, I 49
d 3.322, 26.84 deg, I 16
d 1.663, 55.25 deg, I 13
d 2.039, 44.44 deg, I 12
d 2.025, 44.74 deg, I 12
d 1.437, 64.90 deg, I 12
d 1.657, 55.44 deg, I 6
d 1.654, 55.58 deg, I 6
d 3.307, 26.96 deg, I 5

```
Dy5TmSe6
1.0
3.519 -6.116 0.000
3.519 6.116 0.000
-2.361 0.000 6.615
Dy Tm Se
5 1 6
Direct
0.000 0.000 0.000
0.168 0.832 0.500
0.330 0.670 0.000
0.670 0.330 0.000
0.832 0.168 0.500
0.500 0.500 0.500
0.088 0.417 0.253
0.254 0.254 0.749
0.417 0.088 0.253
0.583 0.912 0.747
0.746 0.746 0.251
0.912 0.583 0.747
```

- Number 2 is which compound?
  Dy5TmSe6